Structure and computed X-ray powder pattern of Pm4Pd3Ru (DFT lattice parameters and positions (GGA-PBE); Cu Kα X-rays).
Peak positions follow from Bragg's law for the DFT cell and can differ from measured ones.

Structural model:
Unit cell a=3.751 b=4.665 c=10.787 alpha=90.00 beta=90.00 gamma=90.00
Sites, in units of the cell vectors:
Pm  0.000  0.000  0.000
Pm  0.000  0.500  0.265
Pm  0.500  0.000  0.479
Pm  0.500  0.500  0.763
Pd  0.000  0.000  0.712
Pd  0.000  0.500  0.546
Pd  0.500  0.500  0.040
Ru  0.500  0.000  0.219

Principal peaks in the range 2θ = 10–90°, sorted by position:
d/Å	I_rel
2.822	100
2.697	31
2.596	20
2.333	52
2.268	65
1.876	18
1.764	17
1.735	19
1.462	24
1.425	23

---

Structure and computed X-ray powder pattern of Pm4Te2PdS (DFT lattice parameters and positions (GGA-PBE); Cu Kα X-rays).
Peak positions follow from Bragg's law for the DFT cell and can differ from measured ones.

Structural model:
Unit cell a=7.474 b=4.204 c=7.598 alpha=90.00 beta=108.97 gamma=90.00
Sites, in units of the cell vectors:
Pm  0.231  0.000  0.220
Pm  0.263  0.500  0.782
Pm  0.737  0.500  0.218
Pm  0.769  0.000  0.780
Te  0.000  0.000  0.500
Te  0.500  0.500  0.500
Pd  0.500  0.000  0.000
S  0.000  0.500  0.000

Principal peaks in the range 2θ = 10–90°, sorted by position:
d/Å	I_rel
3.067	53
3.032	100
2.189	17
2.169	35
2.143	39
2.102	19
1.767	10
1.734	20
1.516	12
1.362	9

---

Structure and computed X-ray powder pattern of Pm2SbPd5 (DFT lattice parameters and positions (GGA-PBE); Cu Kα X-rays).
Peak positions follow from Bragg's law for the DFT cell and can differ from measured ones.

Structural model:
Unit cell a=6.078 b=6.078 c=6.078 alpha=117.82 beta=117.82 gamma=93.82
Sites, in units of the cell vectors:
Pm  0.000  0.500  0.500
Pm  0.500  0.000  0.500
Sb  0.348  0.348  0.000
Pd  0.009  0.009  0.000
Pd  0.524  0.524  0.562
Pd  0.524  0.962  0.000
Pd  0.962  0.524  0.000
Pd  0.962  0.962  0.438

Principal peaks in the range 2θ = 10–90°, sorted by position:
d/Å	I_rel
3.032	19
2.660	14
2.533	13
2.504	100
2.219	47
2.076	13
1.569	14
1.516	16
1.330	19
1.266	15

---

Structure and computed X-ray powder pattern of Pm2Sb4Pd9 (DFT lattice parameters and positions (GGA-PBE); Cu Kα X-rays).
Peak positions follow from Bragg's law for the DFT cell and can differ from measured ones.

Structural model:
Unit cell a=4.574 b=4.574 c=16.458 alpha=90.00 beta=90.00 gamma=120.00
Sites, in units of the cell vectors:
Pm  0.333  0.667  0.253
Pm  0.667  0.333  0.747
Sb  0.333  0.667  0.609
Sb  0.333  0.667  0.889
Sb  0.667  0.333  0.111
Sb  0.667  0.333  0.391
Pd  0.000  0.000  0.000
Pd  0.000  0.000  0.168
Pd  0.000  0.000  0.349
Pd  0.000  0.000  0.651
Pd  0.000  0.000  0.832
Pd  0.333  0.667  0.059
Pd  0.333  0.667  0.447
Pd  0.667  0.333  0.553
Pd  0.667  0.333  0.941

Principal peaks in the range 2θ = 10–90°, sorted by position:
d/Å	I_rel
3.212	16
2.532	54
2.287	100
2.255	50
1.697	16
1.606	17
1.400	12
1.363	15
1.320	17
1.314	17